Theoretical powder X-ray diffraction pattern
Compound: ZnBiPd3
Radiation: Cu Kα (weighted mean of Kα1 and Kα2)
Structure: a DFT-relaxed cell (GGA-PBE, Alexandria)
No peak broadening, texture or thermal motion is included.

Crystal structure
abc: 6.5831 6.5831 4.9035
angles: 90.00 90.00 120.00
Fractional positions:
Zn (0.0000, 0.0000, 0.0000)
Zn (0.0000, 0.0000, 0.5000)
Bi (0.3333, 0.6667, 0.2500)
Bi (0.6667, 0.3333, 0.7500)
Pd (0.1924, 0.3848, 0.7500)
Pd (0.1924, 0.8076, 0.7500)
Pd (0.3848, 0.1924, 0.2500)
Pd (0.6152, 0.8076, 0.7500)
Pd (0.8076, 0.1924, 0.2500)
Pd (0.8076, 0.6152, 0.2500)

Main lines, most intense first (2θ from 10° to 80°):
36.46°, intensity 100
49.01°, intensity 24
27.09°, intensity 22
55.86°, intensity 20
36.65°, intensity 19
65.87°, intensity 18

=====

Theoretical powder X-ray diffraction pattern
Compound: Zr2BiPd4
Radiation: Cu Kα (weighted mean of Kα1 and Kα2)
Structure: a DFT-relaxed cell (GGA-PBE, Alexandria)
No peak broadening, texture or thermal motion is included.

Crystal structure
abc: 7.6303 7.6303 7.6303
angles: 141.23 141.23 55.99
Fractional positions:
Zr (0.1121, 0.1121, 0.0000)
Zr (0.8879, 0.8879, 0.0000)
Bi (0.5000, 0.5000, 0.0000)
Pd (0.0000, 0.5000, 0.5000)
Pd (0.2969, 0.2969, 0.0000)
Pd (0.5000, 0.0000, 0.5000)
Pd (0.7031, 0.7031, 0.0000)

Main lines, most intense first (2θ from 10° to 80°):
35.44°, intensity 100
37.81°, intensity 87
52.79°, intensity 66
13.14°, intensity 58
24.86°, intensity 57
51.00°, intensity 35

=====

Theoretical powder X-ray diffraction pattern
Compound: Pm4Bi3
Radiation: Cu Kα (weighted mean of Kα1 and Kα2)
Structure: a DFT-relaxed cell (GGA-PBE, Alexandria)
No peak broadening, texture or thermal motion is included.

Crystal structure
abc: 12.9956 12.9956 12.9956
angles: 20.84 20.84 20.84
Fractional positions:
Pm (0.1216, 0.1216, 0.1216)
Pm (0.3653, 0.3653, 0.3653)
Pm (0.6347, 0.6347, 0.6347)
Pm (0.8784, 0.8784, 0.8784)
Bi (0.2609, 0.2609, 0.2609)
Bi (0.5000, 0.5000, 0.5000)
Bi (0.7391, 0.7391, 0.7391)

Main lines, most intense first (2θ from 10° to 80°):
28.84°, intensity 100
38.29°, intensity 56
37.81°, intensity 25
48.64°, intensity 24
24.79°, intensity 23
44.04°, intensity 22

=====

Theoretical powder X-ray diffraction pattern
Compound: Pm5Bi3
Radiation: Cu Kα (weighted mean of Kα1 and Kα2)
Structure: a DFT-relaxed cell (GGA-PBE, Alexandria)
No peak broadening, texture or thermal motion is included.

Crystal structure
abc: 9.4466 9.4466 6.5482
angles: 90.00 90.00 120.00
Fractional positions:
Pm (0.0000, 0.2462, 0.2500)
Pm (0.0000, 0.7538, 0.7500)
Pm (0.2462, 0.0000, 0.2500)
Pm (0.2462, 0.2462, 0.7500)
Pm (0.3333, 0.6667, 0.0000)
Pm (0.3333, 0.6667, 0.5000)
Pm (0.6667, 0.3333, 0.0000)
Pm (0.6667, 0.3333, 0.5000)
Pm (0.7538, 0.0000, 0.7500)
Pm (0.7538, 0.7538, 0.2500)
Bi (0.0000, 0.3878, 0.7500)
Bi (0.0000, 0.6122, 0.2500)
Bi (0.3878, 0.0000, 0.7500)
Bi (0.3878, 0.3878, 0.2500)
Bi (0.6122, 0.0000, 0.2500)
Bi (0.6122, 0.6122, 0.7500)

Main lines, most intense first (2θ from 10° to 80°):
32.01°, intensity 100
33.30°, intensity 77
32.84°, intensity 55
51.22°, intensity 31
27.24°, intensity 25
28.87°, intensity 22

=====

Theoretical powder X-ray diffraction pattern
Compound: PmPrBi6
Radiation: Cu Kα (weighted mean of Kα1 and Kα2)
Structure: a DFT-relaxed cell (GGA-PBE, Alexandria)
No peak broadening, texture or thermal motion is included.

Crystal structure
abc: 4.7054 11.9226 11.9226
angles: 22.75 90.00 90.00
Fractional positions:
Pm (0.0000, 0.0000, 0.0000)
Pr (0.5000, 0.3517, 0.3517)
Bi (0.0000, 0.2411, 0.2411)
Bi (0.0000, 0.6165, 0.6165)
Bi (0.0000, 0.8622, 0.8622)
Bi (0.5000, 0.1094, 0.1094)
Bi (0.5000, 0.4908, 0.4908)
Bi (0.5000, 0.7335, 0.7335)

Main lines, most intense first (2θ from 10° to 80°):
33.05°, intensity 100
29.19°, intensity 96
38.26°, intensity 68
49.77°, intensity 54
30.59°, intensity 50
65.89°, intensity 29

=====

Theoretical powder X-ray diffraction pattern
Compound: Pm5PrBi4
Radiation: Cu Kα (weighted mean of Kα1 and Kα2)
Structure: a DFT-relaxed cell (GGA-PBE, Alexandria)
No peak broadening, texture or thermal motion is included.

Crystal structure
abc: 9.7608 10.3959 7.7402
angles: 90.00 90.00 90.00
Fractional positions:
Pm (0.0379, 0.0488, 0.2491)
Pm (0.0379, 0.4512, 0.2491)
Pm (0.2500, 0.7500, 0.2456)
Pm (0.4621, 0.0488, 0.2491)
Pm (0.4621, 0.4512, 0.2491)
Pm (0.5379, 0.5488, 0.7509)
Pm (0.5379, 0.9512, 0.7509)
Pm (0.7500, 0.2500, 0.7544)
Pm (0.9621, 0.5488, 0.7509)
Pm (0.9621, 0.9512, 0.7509)
Pr (0.2500, 0.2500, 0.8610)
Pr (0.7500, 0.7500, 0.1390)
Bi (0.0294, 0.2500, 0.5583)
Bi (0.2500, 0.5476, 0.9462)
Bi (0.2500, 0.9524, 0.9462)
Bi (0.4706, 0.2500, 0.5583)
Bi (0.5294, 0.7500, 0.4417)
Bi (0.7500, 0.0476, 0.0538)
Bi (0.7500, 0.4524, 0.0538)
Bi (0.9706, 0.7500, 0.4417)

Main lines, most intense first (2θ from 10° to 80°):
34.23°, intensity 100
21.53°, intensity 84
28.22°, intensity 60
20.58°, intensity 49
36.01°, intensity 49
34.52°, intensity 42

=====

Theoretical powder X-ray diffraction pattern
Compound: Pm2Pr2Bi3
Radiation: Cu Kα (weighted mean of Kα1 and Kα2)
Structure: a DFT-relaxed cell (GGA-PBE, Alexandria)
No peak broadening, texture or thermal motion is included.

Crystal structure
abc: 8.3980 8.3980 8.3980
angles: 109.47 109.47 109.47
Fractional positions:
Pm (0.0000, 0.6405, 0.5000)
Pm (0.5000, 0.0000, 0.6405)
Pm (0.6405, 0.5000, 0.0000)
Pm (0.8595, 0.8595, 0.8595)
Pr (0.0000, 0.1456, 0.5000)
Pr (0.1456, 0.5000, 0.0000)
Pr (0.3544, 0.3544, 0.3544)
Pr (0.5000, 0.0000, 0.1456)
Bi (0.1214, 0.8714, 0.2500)
Bi (0.2500, 0.1214, 0.8714)
Bi (0.3786, 0.6286, 0.7500)
Bi (0.6286, 0.7500, 0.3786)
Bi (0.7500, 0.3786, 0.6286)
Bi (0.8714, 0.2500, 0.1214)

Main lines, most intense first (2θ from 10° to 80°):
29.12°, intensity 100
34.61°, intensity 65
58.69°, intensity 31
71.49°, intensity 21
47.83°, intensity 20
41.65°, intensity 20

=====

Theoretical powder X-ray diffraction pattern
Compound: Pm3PrBi2
Radiation: Cu Kα (weighted mean of Kα1 and Kα2)
Structure: a DFT-relaxed cell (GGA-PBE, Alexandria)
No peak broadening, texture or thermal motion is included.

Crystal structure
abc: 4.6529 4.6529 8.9985
angles: 90.00 90.00 90.00
Fractional positions:
Pm (0.0000, 0.0000, 0.0000)
Pm (0.0000, 0.5000, 0.6465)
Pm (0.5000, 0.0000, 0.3535)
Pr (0.5000, 0.5000, 0.0000)
Bi (0.0000, 0.5000, 0.2829)
Bi (0.5000, 0.0000, 0.7171)

Main lines, most intense first (2θ from 10° to 80°):
33.75°, intensity 100
28.89°, intensity 82
38.70°, intensity 62
29.79°, intensity 40
49.59°, intensity 39
35.61°, intensity 31

=====

Theoretical powder X-ray diffraction pattern
Compound: PmPr3Bi4
Radiation: Cu Kα (weighted mean of Kα1 and Kα2)
Structure: a DFT-relaxed cell (GGA-PBE, Alexandria)
No peak broadening, texture or thermal motion is included.

Crystal structure
abc: 6.5387 6.5387 6.5387
angles: 90.00 90.00 90.00
Fractional positions:
Pm (0.0000, 0.0000, 0.0000)
Pr (0.0000, 0.5000, 0.5000)
Pr (0.5000, 0.0000, 0.5000)
Pr (0.5000, 0.5000, 0.0000)
Bi (0.0000, 0.0000, 0.5000)
Bi (0.0000, 0.5000, 0.0000)
Bi (0.5000, 0.0000, 0.0000)
Bi (0.5000, 0.5000, 0.5000)

Main lines, most intense first (2θ from 10° to 80°):
27.28°, intensity 100
38.96°, intensity 79
63.64°, intensity 38
48.21°, intensity 29
70.56°, intensity 28
56.28°, intensity 14

=====

Theoretical powder X-ray diffraction pattern
Compound: PmPr2Bi2
Radiation: Cu Kα (weighted mean of Kα1 and Kα2)
Structure: a DFT-relaxed cell (GGA-PBE, Alexandria)
No peak broadening, texture or thermal motion is included.

Crystal structure
abc: 8.2723 8.2723 8.2723
angles: 114.24 84.29 133.55
Fractional positions:
Pm (0.2500, 0.2500, 0.0000)
Pm (0.7500, 0.7500, 0.0000)
Pr (0.1502, 0.6423, 0.7925)
Pr (0.3498, 0.1423, 0.4921)
Pr (0.6502, 0.8577, 0.5079)
Pr (0.8498, 0.3577, 0.2075)
Bi (0.1103, 0.2825, 0.3929)
Bi (0.3897, 0.7825, 0.1722)
Bi (0.6103, 0.2175, 0.8278)
Bi (0.8897, 0.7175, 0.6071)

Main lines, most intense first (2θ from 10° to 80°):
40.37°, intensity 100
36.11°, intensity 96
33.97°, intensity 95
23.91°, intensity 86
30.74°, intensity 82
30.04°, intensity 76

=====

Theoretical powder X-ray diffraction pattern
Compound: Pm2PrSmBi4
Radiation: Cu Kα (weighted mean of Kα1 and Kα2)
Structure: a DFT-relaxed cell (GGA-PBE, Alexandria)
No peak broadening, texture or thermal motion is included.

Crystal structure
abc: 7.9484 4.5917 7.9485
angles: 90.00 109.47 90.00
Fractional positions:
Pm (0.0000, 0.0000, 0.0000)
Pm (0.5000, 0.5000, 0.0000)
Pr (0.0000, 0.5000, 0.5000)
Sm (0.5000, 0.0000, 0.5000)
Bi (0.2522, 0.5000, 0.2496)
Bi (0.2531, 0.0000, 0.7521)
Bi (0.7469, 0.0000, 0.2479)
Bi (0.7478, 0.5000, 0.7504)

Main lines, most intense first (2θ from 10° to 80°):
27.48°, intensity 100
39.26°, intensity 79
64.16°, intensity 38
48.59°, intensity 29
71.16°, intensity 28
56.73°, intensity 14

=====

Theoretical powder X-ray diffraction pattern
Compound: Pm2PrThBi4
Radiation: Cu Kα (weighted mean of Kα1 and Kα2)
Structure: a DFT-relaxed cell (GGA-PBE, Alexandria)
No peak broadening, texture or thermal motion is included.

Crystal structure
abc: 7.9525 4.6049 7.9633
angles: 90.00 109.48 90.00
Fractional positions:
Pm (0.0000, 0.0000, 0.0000)
Pm (0.0000, 0.5000, 0.5000)
Pr (0.5000, 0.0000, 0.5000)
Th (0.5000, 0.5000, 0.0000)
Bi (0.2481, 0.0000, 0.7508)
Bi (0.2476, 0.5000, 0.2472)
Bi (0.7519, 0.0000, 0.2492)
Bi (0.7524, 0.5000, 0.7528)

Main lines, most intense first (2θ from 10° to 80°):
27.43°, intensity 100
39.19°, intensity 79
48.47°, intensity 22
64.00°, intensity 19
64.08°, intensity 19
70.97°, intensity 17